LiErSc4Se8: simulated X-ray diffraction stick pattern (Cu Ka), based on DFT lattice parameters and positions (PBE).
Neutral-atom scattering factors, no anomalous dispersion.

Top 6 peaks for 2θ from 10° to 90°, by intensity:
2θ (°)	I (rel.)
31.6	100
45.6	44
45.0	43
13.6	40
26.1	24
27.4	22

```
LiErSc4Se8
1.0
3.9800 2.2978 6.6174
-3.9800 2.2978 6.6174
0.0000 -4.5957 6.6174
Li Er Sc Se
1 1 4 8
Cartesian
0.0000 0.0000 0.0000
0.0000 0.0000 7.3396
0.0000 -2.4130 10.7704
-2.0898 1.2065 10.7704
0.0000 0.0000 14.8196
2.0898 1.2065 10.7704
0.0000 -2.2230 5.6514
-1.9252 1.1115 5.6514
0.0000 0.0000 2.5998
-1.9086 -1.1019 9.1830
1.9252 1.1115 5.6514
0.0000 0.0000 12.2049
1.9086 -1.1019 9.1830
0.0000 2.2039 9.1830
```